Calculated PXRD pattern
Compound: ErAl10Tc2
Radiation: Cu Kα X-rays
Structure: a structure optimized by DFT (PBE)
No peak broadening, texture or thermal motion is included.

Peak list (8 most intense, 5° ≤ 2θ ≤ 70°, sorted by position)
2θ (°)	d_spacing	Rel. int.
16.16	5.486	34
17.16	5.169	35
27.56	3.236	51
34.05	2.633	35
39.31	2.292	34
39.49	2.282	87
40.07	2.250	100
57.43	1.605	41

Crystal structure
abc: 6.899 6.899 9.169
angles: 90.00 90.00 97.05
Positions (direct):
Er 0.129 0.871 0.750
Er 0.871 0.129 0.250
Al 0.140 0.409 0.750
Al 0.150 0.850 0.097
Al 0.150 0.850 0.403
Al 0.214 0.473 0.250
Al 0.227 0.227 0.000
Al 0.227 0.227 0.500
Al 0.375 0.625 0.538
Al 0.375 0.625 0.962
Al 0.409 0.140 0.250
Al 0.473 0.214 0.750
Al 0.527 0.786 0.250
Al 0.591 0.860 0.750
Al 0.625 0.375 0.038
Al 0.625 0.375 0.462
Al 0.773 0.773 0.000
Al 0.773 0.773 0.500
Al 0.786 0.527 0.750
Al 0.850 0.150 0.597
Al 0.850 0.150 0.903
Al 0.860 0.591 0.250
Tc 0.000 0.500 0.000
Tc 0.000 0.500 0.500
Tc 0.500 0.000 0.000
Tc 0.500 0.000 0.500

=====

Calculated PXRD pattern
Compound: Ce3SiPt
Radiation: Cu Kα X-rays
Structure: a structure optimized by DFT (PBE)
No peak broadening, texture or thermal motion is included.

Peak list (8 most intense, 5° ≤ 2θ ≤ 70°, sorted by position)
2θ (°)	d_spacing	Rel. int.
23.65	3.761	28
27.04	3.297	21
30.95	2.890	27
33.62	2.665	100
36.97	2.431	34
38.61	2.332	64
56.82	1.620	33
57.87	1.593	25

Crystal structure
abc: 7.778 7.778 7.778
angles: 48.37 48.37 48.37
Positions (direct):
Ce 0.260 0.260 0.714
Ce 0.260 0.714 0.260
Ce 0.286 0.740 0.740
Ce 0.714 0.260 0.260
Ce 0.740 0.286 0.740
Ce 0.740 0.740 0.286
Si 0.292 0.292 0.292
Si 0.708 0.708 0.708
Pt 0.177 0.177 0.177
Pt 0.823 0.823 0.823

=====

Calculated PXRD pattern
Compound: HoTm4Ag5
Radiation: Cu Kα X-rays
Structure: a structure optimized by DFT (PBE)
No peak broadening, texture or thermal motion is included.

Peak list (8 most intense, 5° ≤ 2θ ≤ 70°, sorted by position)
2θ (°)	d_spacing	Rel. int.
24.34	3.657	2
25.01	3.560	4
35.18	2.551	100
35.66	2.518	48
49.87	1.828	9
51.32	1.780	17
62.81	1.479	18
63.75	1.460	35

Crystal structure
abc: 3.560 3.560 18.284
angles: 90.00 90.00 90.00
Positions (direct):
Ho 0.000 0.000 0.000
Tm 0.000 0.000 0.201
Tm 0.000 0.000 0.400
Tm 0.000 0.000 0.600
Tm 0.000 0.000 0.799
Ag 0.500 0.500 0.102
Ag 0.500 0.500 0.301
Ag 0.500 0.500 0.500
Ag 0.500 0.500 0.699
Ag 0.500 0.500 0.898

=====

Calculated PXRD pattern
Compound: CuAs2SeF
Radiation: Cu Kα X-rays
Structure: a structure optimized by DFT (PBE)
No peak broadening, texture or thermal motion is included.

Peak list (7 most intense, 5° ≤ 2θ ≤ 70°, sorted by position)
2θ (°)	d_spacing	Rel. int.
16.92	5.242	1
20.75	4.282	2
34.21	2.621	100
40.35	2.235	1
42.21	2.141	27
55.42	1.658	23
61.24	1.513	22

Crystal structure
abc: 4.282 4.282 5.242
angles: 90.00 90.00 90.00
Positions (direct):
Cu 0.000 0.000 0.000
As 0.000 0.500 0.500
As 0.500 0.000 0.500
Se 0.500 0.500 0.000
F 0.500 0.500 0.500

=====

Calculated PXRD pattern
Compound: Tl8B3Se8
Radiation: Cu Kα X-rays
Structure: a structure optimized by DFT (PBE)
No peak broadening, texture or thermal motion is included.

Peak list (8 most intense, 5° ≤ 2θ ≤ 70°, sorted by position)
2θ (°)	d_spacing	Rel. int.
21.00	4.230	24
27.68	3.223	24
28.63	3.118	22
29.21	3.057	19
29.45	3.033	100
29.53	3.025	48
32.17	2.783	20
34.03	2.634	23

Crystal structure
abc: 6.787 9.277 9.733
angles: 81.44 71.77 87.03
Positions (direct):
Tl 0.128 0.331 0.076
Tl 0.244 0.936 0.153
Tl 0.268 0.169 0.494
Tl 0.357 0.505 0.687
Tl 0.643 0.495 0.313
Tl 0.732 0.831 0.506
Tl 0.756 0.064 0.847
Tl 0.872 0.669 0.924
B 0.000 0.500 0.500
B 0.295 0.889 0.784
B 0.705 0.111 0.216
Se 0.127 0.572 0.308
Se 0.205 0.835 0.624
Se 0.284 0.093 0.819
Se 0.391 0.732 0.909
Se 0.609 0.268 0.091
Se 0.716 0.907 0.181
Se 0.795 0.165 0.376
Se 0.873 0.428 0.692

=====

Calculated PXRD pattern
Compound: SmHfOsRh
Radiation: Cu Kα X-rays
Structure: a structure optimized by DFT (PBE)
No peak broadening, texture or thermal motion is included.

Peak list (6 most intense, 5° ≤ 2θ ≤ 70°, sorted by position)
2θ (°)	d_spacing	Rel. int.
22.86	3.890	4
37.76	2.382	100
44.60	2.032	2
54.47	1.685	17
59.83	1.546	1
68.18	1.375	36

Crystal structure
abc: 4.765 4.765 4.765
angles: 60.00 60.00 60.00
Positions (direct):
Sm 0.000 0.000 0.000
Hf 0.500 0.500 0.500
Os 0.250 0.250 0.250
Rh 0.750 0.750 0.750

=====

Calculated PXRD pattern
Compound: Ac2SmCu3Ge4
Radiation: Cu Kα X-rays
Structure: a structure optimized by DFT (PBE)
No peak broadening, texture or thermal motion is included.

Peak list (8 most intense, 5° ≤ 2θ ≤ 70°, sorted by position)
2θ (°)	d_spacing	Rel. int.
21.46	4.141	21
31.46	2.843	45
32.65	2.742	100
38.28	2.351	18
40.39	2.233	49
52.08	1.756	22
58.44	1.579	18
68.58	1.368	24

Crystal structure
abc: 4.466 4.466 11.062
angles: 90.00 90.00 90.00
Positions (direct):
Ac 0.000 0.500 0.225
Ac 0.500 0.000 0.775
Sm 0.000 0.000 0.500
Cu 0.000 0.500 0.889
Cu 0.500 0.000 0.111
Cu 0.500 0.500 0.500
Ge 0.000 0.000 0.000
Ge 0.000 0.500 0.662
Ge 0.500 0.000 0.338
Ge 0.500 0.500 0.000

=====

Calculated PXRD pattern
Compound: MnCuPt4
Radiation: Cu Kα X-rays
Structure: a structure optimized by DFT (PBE)
No peak broadening, texture or thermal motion is included.

Peak list (8 most intense, 5° ≤ 2θ ≤ 70°, sorted by position)
2θ (°)	d_spacing	Rel. int.
20.18	4.400	28
40.48	2.228	93
40.65	2.220	32
41.02	2.200	55
41.52	2.175	100
41.98	2.152	25
45.79	1.982	28
59.13	1.563	19

Crystal structure
abc: 8.800 2.753 7.507
angles: 90.00 90.00 90.00
Positions (direct):
Mn 0.250 0.000 0.193
Mn 0.750 0.000 0.807
Cu 0.250 0.000 0.540
Cu 0.750 0.000 0.460
Pt 0.000 0.000 0.000
Pt 0.018 0.500 0.328
Pt 0.250 0.500 0.864
Pt 0.482 0.500 0.328
Pt 0.500 0.000 0.000
Pt 0.518 0.500 0.672
Pt 0.750 0.500 0.136
Pt 0.982 0.500 0.672

=====

Calculated PXRD pattern
Compound: CrTe8Pd3
Radiation: Cu Kα X-rays
Structure: a structure optimized by DFT (PBE)
No peak broadening, texture or thermal motion is included.

Peak list (8 most intense, 5° ≤ 2θ ≤ 70°, sorted by position)
2θ (°)	d_spacing	Rel. int.
16.54	5.360	9
30.37	2.943	100
42.39	2.133	21
44.53	2.035	25
44.63	2.030	12
54.91	1.672	8
57.92	1.592	10
63.19	1.471	8

Crystal structure
abc: 6.718 6.742 8.121
angles: 107.61 107.50 105.59
Positions (direct):
Cr 0.000 0.000 0.000
Te 0.033 0.297 0.837
Te 0.040 0.292 0.332
Te 0.461 0.197 0.162
Te 0.463 0.206 0.667
Te 0.537 0.794 0.333
Te 0.539 0.803 0.838
Te 0.960 0.708 0.668
Te 0.967 0.703 0.163
Pd 0.000 0.000 0.500
Pd 0.500 0.500 0.000
Pd 0.500 0.500 0.500

=====

Calculated PXRD pattern
Compound: Ba6Ga5N
Radiation: Cu Kα X-rays
Structure: a structure optimized by DFT (PBE)
No peak broadening, texture or thermal motion is included.

Peak list (8 most intense, 5° ≤ 2θ ≤ 70°, sorted by position)
2θ (°)	d_spacing	Rel. int.
25.15	3.541	34
26.14	3.409	93
29.32	3.047	82
30.88	2.895	68
33.43	2.680	100
34.42	2.606	57
47.51	1.914	26
53.38	1.716	36

Crystal structure
abc: 14.895 14.895 14.895
angles: 31.06 31.06 31.06
Positions (direct):
Ba 0.136 0.710 0.262
Ba 0.210 0.636 0.762
Ba 0.238 0.790 0.364
Ba 0.262 0.136 0.710
Ba 0.290 0.738 0.864
Ba 0.364 0.238 0.790
Ba 0.636 0.762 0.210
Ba 0.710 0.262 0.136
Ba 0.738 0.864 0.290
Ba 0.762 0.210 0.636
Ba 0.790 0.364 0.238
Ba 0.864 0.290 0.738
Ga 0.048 0.452 0.250
Ga 0.198 0.198 0.198
Ga 0.250 0.048 0.452
Ga 0.302 0.302 0.302
Ga 0.452 0.250 0.048
Ga 0.548 0.750 0.952
Ga 0.698 0.698 0.698
Ga 0.750 0.952 0.548
Ga 0.802 0.802 0.802
Ga 0.952 0.548 0.750
N 0.000 0.000 0.000
N 0.500 0.500 0.500

=====

Calculated PXRD pattern
Compound: La3Pr9Dy2
Radiation: Cu Kα X-rays
Structure: a structure optimized by DFT (PBE)
No peak broadening, texture or thermal motion is included.

Peak list (8 most intense, 5° ≤ 2θ ≤ 70°, sorted by position)
2θ (°)	d_spacing	Rel. int.
16.63	5.332	17
27.73	3.217	100
29.87	2.991	38
30.00	2.978	50
30.36	2.944	21
31.58	2.833	20
32.34	2.768	58
34.49	2.600	51

Crystal structure
abc: 10.681 10.681 5.536
angles: 104.98 104.98 59.90
Positions (direct):
La 0.000 0.000 0.000
La 0.170 0.170 0.670
La 0.830 0.830 0.330
Pr 0.104 0.651 0.879
Pr 0.155 0.456 0.307
Pr 0.349 0.896 0.121
Pr 0.456 0.155 0.307
Pr 0.500 0.500 0.000
Pr 0.544 0.845 0.693
Pr 0.651 0.104 0.879
Pr 0.845 0.544 0.693
Pr 0.896 0.349 0.121
Dy 0.245 0.755 0.500
Dy 0.755 0.245 0.500

=====

Calculated PXRD pattern
Compound: Ac5CdCu4
Radiation: Cu Kα X-rays
Structure: a structure optimized by DFT (PBE)
No peak broadening, texture or thermal motion is included.

Peak list (8 most intense, 5° ≤ 2θ ≤ 70°, sorted by position)
2θ (°)	d_spacing	Rel. int.
22.65	3.926	13
23.24	3.827	28
32.68	2.740	100
33.10	2.706	52
40.49	2.228	12
47.52	1.914	19
58.05	1.589	15
58.86	1.569	37

Crystal structure
abc: 3.827 3.827 19.628
angles: 90.00 90.00 90.00
Positions (direct):
Ac 0.000 0.000 0.000
Ac 0.000 0.000 0.194
Ac 0.000 0.000 0.386
Ac 0.000 0.000 0.614
Ac 0.000 0.000 0.806
Cd 0.500 0.500 0.500
Cu 0.500 0.500 0.096
Cu 0.500 0.500 0.291
Cu 0.500 0.500 0.709
Cu 0.500 0.500 0.904

=====

Calculated PXRD pattern
Compound: Li3AgH
Radiation: Cu Kα X-rays
Structure: a structure optimized by DFT (PBE)
No peak broadening, texture or thermal motion is included.

Peak list (8 most intense, 5° ≤ 2θ ≤ 70°, sorted by position)
2θ (°)	d_spacing	Rel. int.
9.31	9.500	100
20.78	4.276	39
26.31	3.388	21
26.81	3.326	25
28.18	3.167	18
31.04	2.881	28
37.91	2.374	20
38.93	2.314	20

Crystal structure
abc: 2.915 4.744 9.600
angles: 88.94 81.77 89.94
Positions (direct):
Li 0.000 0.000 0.000
Li 0.107 0.434 0.786
Li 0.248 0.794 0.513
Li 0.361 0.144 0.268
Li 0.747 0.288 0.518
Li 0.860 0.637 0.273
Ag 0.483 0.506 0.034
Ag 0.623 0.928 0.752
H 0.301 0.462 0.399
H 0.805 0.969 0.386